This entry pairs a crystal structure of Dy3S4 with its simulated X-ray diffraction stick pattern. Radiation: Cu Kα (λ = 1.5418 Å). Structure: the GGA-PBE geometry in the Materials Project.

Cell and atoms:
Unit cell a=7.193 b=7.193 c=7.193 alpha=109.47 beta=109.47 gamma=109.47
Fractional positions:
Dy1 0.125 0.875 0.250
Dy2 0.250 0.125 0.875
Dy3 0.375 0.625 0.750
Dy4 0.625 0.750 0.375
Dy5 0.750 0.375 0.625
Dy6 0.875 0.250 0.125
S1 0.000 0.143 0.500
S2 0.000 0.643 0.500
S3 0.143 0.500 0.000
S4 0.357 0.357 0.357
S5 0.500 0.000 0.143
S6 0.500 0.000 0.643
S7 0.643 0.500 0.000
S8 0.857 0.857 0.857

Most intense lines, 5° ≤ 2θ ≤ 70°, low angle first:
26.3 deg, 3.391 Å, intensity 1000
30.4 deg, 2.937 Å, intensity 78
34.1 deg, 2.627 Å, intensity 847
40.6 deg, 2.220 Å, intensity 504
49.0 deg, 1.857 Å, intensity 371
51.6 deg, 1.771 Å, intensity 239
54.1 deg, 1.695 Å, intensity 75
56.5 deg, 1.629 Å, intensity 299
61.1 deg, 1.516 Å, intensity 74
69.8 deg, 1.347 Å, intensity 336

=====

This entry pairs a crystal structure of Nd4Ge3Rh4 with its simulated X-ray diffraction stick pattern. Radiation: Cu Kα (λ = 1.5418 Å). Structure: the GGA-PBE geometry in the Materials Project.

Cell and atoms:
Unit cell a=11.029 b=11.029 c=8.043 alpha=109.00 beta=109.00 gamma=30.03
Fractional positions:
Nd1 0.079 0.787 0.831
Nd2 0.213 0.921 0.669
Nd3 0.214 0.445 0.101
Nd4 0.445 0.214 0.601
Nd5 0.555 0.786 0.399
Nd6 0.786 0.555 0.899
Nd7 0.787 0.079 0.331
Nd8 0.921 0.213 0.169
Ge1 0.052 0.291 0.558
Ge2 0.291 0.052 0.058
Ge3 0.354 0.646 0.250
Ge4 0.646 0.354 0.750
Ge5 0.709 0.948 0.942
Ge6 0.948 0.709 0.442
Rh1 0.072 0.371 0.314
Rh2 0.303 0.572 0.483
Rh3 0.371 0.072 0.814
Rh4 0.428 0.697 0.017
Rh5 0.572 0.303 0.983
Rh6 0.629 0.928 0.186
Rh7 0.697 0.428 0.517
Rh8 0.928 0.629 0.686

Most intense lines, 5° ≤ 2θ ≤ 70°, low angle first:
29.9 deg, 2.991 Å, intensity 377
33.4 deg, 2.684 Å, intensity 441
33.5 deg, 2.673 Å, intensity 795
34.1 deg, 2.626 Å, intensity 583
35.8 deg, 2.507 Å, intensity 387
35.9 deg, 2.500 Å, intensity 687
36.1 deg, 2.485 Å, intensity 578
37.1 deg, 2.425 Å, intensity 1000
40.1 deg, 2.250 Å, intensity 895
65.4 deg, 1.428 Å, intensity 293

=====

This entry pairs a crystal structure of CeSe2 with its simulated X-ray diffraction stick pattern. Radiation: Cu Kα (λ = 1.5418 Å). Structure: the GGA-PBE geometry in the Materials Project.

Cell and atoms:
Unit cell a=9.608 b=9.608 c=7.935 alpha=90.00 beta=90.00 gamma=97.15
Fractional positions:
Ce1 0.045 0.349 0.144
Ce2 0.349 0.045 0.856
Ce3 0.651 0.955 0.356
Ce4 0.955 0.651 0.644
Se1 0.105 0.895 0.750
Se2 0.106 0.524 0.412
Se3 0.287 0.287 0.000
Se4 0.476 0.894 0.088
Se5 0.524 0.106 0.588
Se6 0.713 0.713 0.500
Se7 0.894 0.476 0.912
Se8 0.895 0.105 0.250

Most intense lines, 5° ≤ 2θ ≤ 70°, low angle first:
13.9 deg, 6.357 Å, intensity 716
14.5 deg, 6.099 Å, intensity 642
16.6 deg, 5.334 Å, intensity 1000
17.9 deg, 4.961 Å, intensity 231
21.7 deg, 4.086 Å, intensity 379
32.8 deg, 2.731 Å, intensity 253
38.4 deg, 2.346 Å, intensity 235
39.5 deg, 2.281 Å, intensity 303
44.3 deg, 2.043 Å, intensity 270
46.1 deg, 1.969 Å, intensity 276

=====

This entry pairs a crystal structure of Mg3Ti4P6O24 with its simulated X-ray diffraction stick pattern. Radiation: Cu Kα (λ = 1.5418 Å). Structure: the GGA-PBE geometry in the Materials Project.

Cell and atoms:
Unit cell a=6.491 b=8.037 c=9.393 alpha=104.58 beta=108.74 gamma=101.16
Fractional positions:
Mg1 0.000 0.000 0.000
Mg2 0.281 0.810 0.287
Mg3 0.719 0.190 0.713
Ti1 0.051 0.721 0.526
Ti2 0.400 0.463 0.117
Ti3 0.600 0.537 0.883
Ti4 0.949 0.279 0.474
P1 0.077 0.588 0.832
P2 0.229 0.145 0.772
P3 0.391 0.223 0.367
P4 0.609 0.777 0.633
P5 0.771 0.855 0.228
P6 0.923 0.412 0.168
O1 0.020 0.188 0.664
O2 0.056 0.541 0.653
O3 0.096 0.779 0.913
O4 0.132 0.544 0.167
O5 0.205 0.945 0.703
O6 0.233 0.192 0.944
O7 0.244 0.275 0.460
O8 0.265 0.035 0.235
O9 0.297 0.537 0.916
O10 0.383 0.783 0.509
O11 0.452 0.360 0.287
O12 0.455 0.258 0.773
O13 0.545 0.742 0.227
O14 0.548 0.640 0.713
O15 0.617 0.217 0.491
O16 0.703 0.463 0.084
O17 0.735 0.965 0.765
O18 0.756 0.725 0.540
O19 0.767 0.808 0.056
O20 0.795 0.055 0.297
O21 0.868 0.456 0.833
O22 0.904 0.221 0.087
O23 0.944 0.459 0.347
O24 0.980 0.812 0.336

Most intense lines, 5° ≤ 2θ ≤ 70°, low angle first:
11.9 deg, 7.422 Å, intensity 395
20.4 deg, 4.355 Å, intensity 230
28.0 deg, 3.181 Å, intensity 439
29.2 deg, 3.058 Å, intensity 521
29.4 deg, 3.034 Å, intensity 1000
30.2 deg, 2.963 Å, intensity 676
30.9 deg, 2.893 Å, intensity 269
32.8 deg, 2.734 Å, intensity 339
46.4 deg, 1.956 Å, intensity 237
57.6 deg, 1.601 Å, intensity 195

=====

This entry pairs a crystal structure of In2AgTe3Br with its simulated X-ray diffraction stick pattern. Radiation: Cu Kα (λ = 1.5418 Å). Structure: the GGA-PBE geometry in the Materials Project.

Cell and atoms:
Unit cell a=4.301 b=4.301 c=11.705 alpha=90.00 beta=90.00 gamma=90.00
Fractional positions:
In1 0.000 0.000 0.236
In2 0.000 0.000 0.764
Ag1 0.500 0.500 0.500
Te1 0.000 0.000 0.500
Te2 0.500 0.500 0.260
Te3 0.500 0.500 0.740
Br1 0.000 0.000 0.000

Most intense lines, 5° ≤ 2θ ≤ 70°, low angle first:
7.6 deg, 11.705 Å, intensity 372
15.1 deg, 5.853 Å, intensity 93
29.4 deg, 3.041 Å, intensity 1000
30.5 deg, 2.926 Å, intensity 425
42.0 deg, 2.150 Å, intensity 373
42.9 deg, 2.109 Å, intensity 662
52.8 deg, 1.733 Å, intensity 354
60.9 deg, 1.521 Å, intensity 121
69.1 deg, 1.360 Å, intensity 165
69.7 deg, 1.349 Å, intensity 163

=====

This entry pairs a crystal structure of LiBH2 with its simulated X-ray diffraction stick pattern. Radiation: Cu Kα (λ = 1.5418 Å). Structure: the GGA-PBE geometry in the Materials Project.

Cell and atoms:
Unit cell a=8.217 b=3.035 c=5.622 alpha=90.00 beta=90.00 gamma=90.00
Fractional positions:
Li1 0.238 0.250 0.150
Li2 0.262 0.750 0.650
Li3 0.738 0.250 0.350
Li4 0.762 0.750 0.850
B1 0.044 0.750 0.922
B2 0.456 0.250 0.422
B3 0.544 0.750 0.578
B4 0.956 0.250 0.078
H1 0.013 0.250 0.280
H2 0.089 0.250 0.933
H3 0.411 0.750 0.433
H4 0.487 0.750 0.780
H5 0.513 0.250 0.220
H6 0.589 0.250 0.567
H7 0.911 0.750 0.067
H8 0.987 0.750 0.720

Most intense lines, 5° ≤ 2θ ≤ 70°, low angle first:
19.1 deg, 4.640 Å, intensity 1000
21.6 deg, 4.108 Å, intensity 121
33.6 deg, 2.671 Å, intensity 188
38.8 deg, 2.320 Å, intensity 31
44.1 deg, 2.054 Å, intensity 40
45.3 deg, 2.000 Å, intensity 51
46.3 deg, 1.962 Å, intensity 98
47.6 deg, 1.912 Å, intensity 79
56.5 deg, 1.628 Å, intensity 43
61.1 deg, 1.518 Å, intensity 36